1.
# InCoOsAu
Calculated XRD peak list, CuKα. Input: a crystal structure in OQMD, relaxed with GGA-PBE.
Kinematic intensities with the Lorentz-polarization factor, no thermal factor.

Cell and atoms:
a = 6.3476 Å, b = 6.3476 Å, c = 6.3476 Å
α = 90.00°, β = 90.00°, γ = 90.00°
Atoms (fractional coordinates):
1 In 0.0000 0.0000 0.0000
2 In 0.0000 0.5000 0.5000
3 In 0.5000 0.0000 0.5000
4 In 0.5000 0.5000 0.0000
5 Co 0.2500 0.2500 0.2500
6 Co 0.2500 0.7500 0.7500
7 Co 0.7500 0.2500 0.7500
8 Co 0.7500 0.7500 0.2500
9 Os 0.2500 0.2500 0.7500
10 Os 0.2500 0.7500 0.2500
11 Os 0.7500 0.2500 0.2500
12 Os 0.7500 0.7500 0.7500
13 Au 0.0000 0.0000 0.5000
14 Au 0.0000 0.5000 0.0000
15 Au 0.5000 0.0000 0.0000
16 Au 0.5000 0.5000 0.5000

Principal peaks in the range 2θ = 10–80°, low angle first:
d [Å]  two_theta  intensity
3.665  24.29  16.5
2.244  40.18  100.0
1.914  47.51  9.0
1.587  58.13  16.8
1.456  63.93  3.9
1.296  73.02  34.2

---

2.
# InCoPtAu
Calculated XRD peak list, CuKα. Input: a crystal structure in OQMD, relaxed with GGA-PBE.
Kinematic intensities with the Lorentz-polarization factor, no thermal factor.

Cell and atoms:
a = 6.4031 Å, b = 6.4031 Å, c = 6.4031 Å
α = 90.00°, β = 90.00°, γ = 90.00°
Atoms (fractional coordinates):
1 In 0.0000 0.0000 0.0000
2 In 0.0000 0.5000 0.5000
3 In 0.5000 0.0000 0.5000
4 In 0.5000 0.5000 0.0000
5 Co 0.2500 0.2500 0.2500
6 Co 0.2500 0.7500 0.7500
7 Co 0.7500 0.2500 0.7500
8 Co 0.7500 0.7500 0.2500
9 Pt 0.2500 0.2500 0.7500
10 Pt 0.2500 0.7500 0.2500
11 Pt 0.7500 0.2500 0.2500
12 Pt 0.7500 0.7500 0.7500
13 Au 0.0000 0.0000 0.5000
14 Au 0.0000 0.5000 0.0000
15 Au 0.5000 0.0000 0.0000
16 Au 0.5000 0.5000 0.5000

Principal peaks in the range 2θ = 10–80°, low angle first:
d [Å]  two_theta  intensity
3.697  24.07  17.1
2.264  39.82  100.0
1.931  47.07  9.3
1.601  57.58  16.9
1.469  63.31  4.1
1.307  72.29  34.3

---

3.
# LaCoSbAu
Calculated XRD peak list, CuKα. Input: a crystal structure in OQMD, relaxed with GGA-PBE.
Kinematic intensities with the Lorentz-polarization factor, no thermal factor.

Cell and atoms:
a = 7.0323 Å, b = 7.0323 Å, c = 7.0323 Å
α = 90.00°, β = 90.00°, γ = 90.00°
Atoms (fractional coordinates):
1 La 0.0000 0.0000 0.0000
2 La 0.0000 0.5000 0.5000
3 La 0.5000 0.0000 0.5000
4 La 0.5000 0.5000 0.0000
5 Co 0.2500 0.2500 0.2500
6 Co 0.2500 0.7500 0.7500
7 Co 0.7500 0.2500 0.7500
8 Co 0.7500 0.7500 0.2500
9 Sb 0.0000 0.0000 0.5000
10 Sb 0.0000 0.5000 0.0000
11 Sb 0.5000 0.0000 0.0000
12 Sb 0.5000 0.5000 0.5000
13 Au 0.2500 0.2500 0.7500
14 Au 0.2500 0.7500 0.2500
15 Au 0.7500 0.2500 0.2500
16 Au 0.7500 0.7500 0.7500

Principal peaks in the range 2θ = 10–80°, low angle first:
d [Å]  two_theta  intensity
4.060  21.89  15.7
2.486  36.13  100.0
2.120  42.64  9.1
1.758  52.02  17.5
1.435  64.97  35.5
1.243  76.65  11.1